Calculated PXRD pattern of NaMg14TiO16 for Cu Kα X-rays, from the PBE geometry in the Materials Project.
No peak broadening, texture or thermal motion is included.

Structure:
Lattice parameters (Å, degrees): 4.275 8.567 8.572 90.00 90.00 90.00
Positions (direct):
Na 0.000 0.000 0.000
Mg 0.000 0.252 0.244
Mg 0.000 0.252 0.756
Mg 0.000 0.500 0.000
Mg 0.000 0.500 0.500
Mg 0.000 0.748 0.244
Mg 0.000 0.748 0.756
Mg 0.500 0.000 0.241
Mg 0.500 0.000 0.759
Mg 0.500 0.247 0.000
Mg 0.500 0.253 0.500
Mg 0.500 0.500 0.248
Mg 0.500 0.500 0.752
Mg 0.500 0.747 0.500
Mg 0.500 0.753 0.000
Ti 0.000 0.000 0.500
O 0.000 0.000 0.268
O 0.000 0.000 0.732
O 0.000 0.247 0.500
O 0.000 0.264 0.000
O 0.000 0.500 0.255
O 0.000 0.500 0.745
O 0.000 0.736 0.000
O 0.000 0.753 0.500
O 0.500 0.000 0.000
O 0.500 0.000 0.500
O 0.500 0.249 0.252
O 0.500 0.249 0.748
O 0.500 0.500 0.000
O 0.500 0.500 0.500
O 0.500 0.751 0.252
O 0.500 0.751 0.748

Most intense lines, 5 to 70 degrees two-theta, by intensity:
2θ 42.2, I 100
2θ 61.2, I 84
2θ 42.3, I 50
2θ 36.3, I 19
2θ 10.3, I 3
2θ 14.6, I 2
2θ 23.2, I 2
2θ 31.3, I 2
2θ 25.5, I 2
2θ 20.7, I 1

Calculated PXRD pattern of Na8MgTi2O8 for Cu Kα X-rays, from the PBE geometry in the Materials Project.
No peak broadening, texture or thermal motion is included.

Structure:
Lattice parameters (Å, degrees): 6.447 7.191 7.191 77.60 90.00 90.00
Positions (direct):
Na 0.000 0.147 0.853
Na 0.000 0.853 0.147
Na 0.242 0.578 0.928
Na 0.242 0.928 0.578
Na 0.500 0.334 0.642
Na 0.500 0.642 0.334
Na 0.758 0.578 0.928
Na 0.758 0.928 0.578
Mg 0.000 0.240 0.240
Ti 0.000 0.485 0.485
Ti 0.500 0.198 0.198
O 0.000 0.218 0.527
O 0.000 0.527 0.218
O 0.234 0.122 0.122
O 0.234 0.577 0.577
O 0.500 0.123 0.453
O 0.500 0.453 0.123
O 0.766 0.122 0.122
O 0.766 0.577 0.577

Most intense lines, 5 to 70 degrees two-theta, by intensity:
2θ 12.6, I 100
2θ 30.5, I 61
2θ 32.0, I 56
2θ 33.9, I 40
2θ 21.0, I 34
2θ 25.4, I 33
2θ 38.5, I 32
2θ 52.9, I 30
2θ 47.5, I 25
2θ 37.9, I 22

Calculated PXRD pattern of NaMg6TiO8 for Cu Kα X-rays, from the PBE geometry in the Materials Project.
No peak broadening, texture or thermal motion is included.

Structure:
Lattice parameters (Å, degrees): 4.266 4.266 8.700 90.00 90.00 90.00
Positions (direct):
Na 0.000 0.000 0.000
Mg 0.000 0.000 0.500
Mg 0.000 0.500 0.252
Mg 0.000 0.500 0.748
Mg 0.500 0.000 0.252
Mg 0.500 0.000 0.748
Mg 0.500 0.500 0.500
Ti 0.500 0.500 0.000
O 0.000 0.000 0.265
O 0.000 0.000 0.735
O 0.000 0.500 0.000
O 0.000 0.500 0.500
O 0.500 0.000 0.000
O 0.500 0.000 0.500
O 0.500 0.500 0.244
O 0.500 0.500 0.756

Most intense lines, 5 to 70 degrees two-theta, by intensity:
2θ 42.4, I 100
2θ 60.8, I 57
2θ 41.5, I 53
2θ 61.5, I 28
2θ 36.2, I 23
2θ 23.2, I 7
2θ 10.2, I 4
2θ 20.8, I 3
2θ 29.3, I 2
2θ 31.4, I 2

Calculated PXRD pattern of Na8MgTi2O8 for Cu Kα X-rays, from the PBE geometry in the Materials Project.
No peak broadening, texture or thermal motion is included.

Structure:
Lattice parameters (Å, degrees): 7.324 7.324 6.167 100.20 100.20 79.77
Positions (direct):
Na 0.106 0.406 0.731
Na 0.149 0.851 0.000
Na 0.169 0.831 0.500
Na 0.406 0.106 0.731
Na 0.594 0.894 0.269
Na 0.831 0.169 0.500
Na 0.851 0.149 0.000
Na 0.894 0.594 0.269
Mg 0.500 0.500 0.500
Ti 0.253 0.253 0.269
Ti 0.747 0.747 0.731
O 0.132 0.132 0.417
O 0.173 0.173 0.971
O 0.212 0.506 0.389
O 0.494 0.788 0.611
O 0.506 0.212 0.389
O 0.788 0.494 0.611
O 0.827 0.827 0.029
O 0.868 0.868 0.583

Most intense lines, 5 to 70 degrees two-theta, by intensity:
2θ 17.8, I 100
2θ 30.5, I 95
2θ 34.2, I 61
2θ 37.9, I 58
2θ 14.8, I 58
2θ 16.2, I 54
2θ 43.0, I 45
2θ 32.4, I 39
2θ 37.4, I 37
2θ 18.9, I 35

What did the second record say?
Calculated PXRD pattern of Na8MgTi2O8 for Cu Kα X-rays, from the PBE geometry in the Materials Project.
No peak broadening, texture or thermal motion is included.

Structure:
Lattice parameters (Å, degrees): 6.447 7.191 7.191 77.60 90.00 90.00
Positions (direct):
Na 0.000 0.147 0.853
Na 0.000 0.853 0.147
Na 0.242 0.578 0.928
Na 0.242 0.928 0.578
Na 0.500 0.334 0.642
Na 0.500 0.642 0.334
Na 0.758 0.578 0.928
Na 0.758 0.928 0.578
Mg 0.000 0.240 0.240
Ti 0.000 0.485 0.485
Ti 0.500 0.198 0.198
O 0.000 0.218 0.527
O 0.000 0.527 0.218
O 0.234 0.122 0.122
O 0.234 0.577 0.577
O 0.500 0.123 0.453
O 0.500 0.453 0.123
O 0.766 0.122 0.122
O 0.766 0.577 0.577

Most intense lines, 5 to 70 degrees two-theta, by intensity:
2θ 12.6, I 100
2θ 30.5, I 61
2θ 32.0, I 56
2θ 33.9, I 40
2θ 21.0, I 34
2θ 25.4, I 33
2θ 38.5, I 32
2θ 52.9, I 30
2θ 47.5, I 25
2θ 37.9, I 22